Record 1
This entry pairs a crystal structure of UO2F2 with its simulated X-ray powder pattern. Radiation: λ = 1.5418 Å (Cu Kα). Structure: a DFT-relaxed cell (PBE, the Materials Project).
No peak broadening, texture or thermal motion is included.

Atomic structure:
Lattice parameters (Å, degrees): 5.2606 5.2606 4.2941 100.28 100.28 37.84
Sites, in units of the cell vectors:
U 0.0000 0.0000 0.0000
O 0.3866 0.3866 0.0537
O 0.6134 0.6134 0.9463
F 0.1205 0.1205 0.4554
F 0.8795 0.8795 0.5446

Most intense lines, 2θ from 5° to 70°, sorted by position:
- d 4.887, rel. 100.0
- d 4.217, rel. 62.8
- d 3.540, rel. 44.5
- d 3.221, rel. 71.0
- d 2.640, rel. 28.8
- d 2.188, rel. 37.9


Record 2
This entry pairs a crystal structure of RbAlAgF6 with its simulated X-ray powder pattern. Radiation: λ = 1.5418 Å (Cu Kα). Structure: a DFT-relaxed cell (PBE, the Materials Project).
No peak broadening, texture or thermal motion is included.

Atomic structure:
Lattice parameters (Å, degrees): 7.1639 7.3352 10.4774 90.00 90.00 90.00
Sites, in units of the cell vectors:
Rb 0.0179 0.2500 0.1360
Rb 0.4821 0.7500 0.6360
Rb 0.5179 0.2500 0.3640
Rb 0.9821 0.7500 0.8640
Al 0.0000 0.0000 0.5000
Al 0.0000 0.5000 0.5000
Al 0.5000 0.0000 0.0000
Al 0.5000 0.5000 0.0000
Ag 0.2156 0.2500 0.7536
Ag 0.2844 0.7500 0.2536
Ag 0.7156 0.2500 0.7464
Ag 0.7844 0.7500 0.2464
F 0.0382 0.7500 0.1456
F 0.0396 0.2500 0.5023
F 0.1351 0.5213 0.6471
F 0.1351 0.9787 0.6471
F 0.2128 0.5258 0.4084
F 0.2128 0.9742 0.4084
F 0.2872 0.0258 0.9084
F 0.2872 0.4742 0.9084
F 0.3649 0.0213 0.1471
F 0.3649 0.4787 0.1471
F 0.4604 0.7500 0.0023
F 0.4618 0.2500 0.6456
F 0.5382 0.7500 0.3544
F 0.5396 0.2500 0.9977
F 0.6351 0.5213 0.8529
F 0.6351 0.9787 0.8529
F 0.7128 0.5258 0.0916
F 0.7128 0.9742 0.0916
F 0.7872 0.0258 0.5916
F 0.7872 0.4742 0.5916
F 0.8649 0.0213 0.3529
F 0.8649 0.4787 0.3529
F 0.9604 0.7500 0.4977
F 0.9618 0.2500 0.8544

Most intense lines, 2θ from 5° to 70°, sorted by position:
- d 6.009, rel. 42.5
- d 3.666, rel. 56.1
- d 3.153, rel. 48.2
- d 3.117, rel. 43.7
- d 3.077, rel. 100.0
- d 1.832, rel. 72.4


Record 3
This entry pairs a crystal structure of Pr2Tl with its simulated X-ray powder pattern. Radiation: λ = 1.5418 Å (Cu Kα). Structure: a DFT-relaxed cell (PBE, the Materials Project).
No peak broadening, texture or thermal motion is included.

Atomic structure:
Lattice parameters (Å, degrees): 5.6257 5.6257 7.0051 90.00 90.00 120.00
Sites, in units of the cell vectors:
Pr 0.0000 0.0000 0.0000
Pr 0.0000 0.0000 0.5000
Pr 0.3333 0.6667 0.2500
Pr 0.6667 0.3333 0.7500
Tl 0.3333 0.6667 0.7500
Tl 0.6667 0.3333 0.2500

Most intense lines, 2θ from 5° to 70°, sorted by position:
- d 2.844, rel. 86.2
- d 2.813, rel. 100.0
- d 2.000, rel. 31.6
- d 1.630, rel. 33.1
- d 1.624, rel. 19.6
- d 1.487, rel. 29.2


What is the formula in the second record? RbAlAgF6


Which formula does entry 3 have? Pr2Tl